Record 1
Theoretical powder X-ray diffraction pattern
Compound: K3HoP2O8
Radiation: copper Kα
Structure: a structure optimized by DFT (PBE)

Cell and atoms:
```
data_K3HoP2O8
_chemical_formula_sum 'K6 Ho2 P4 O16'
_cell_length_a 7.5200
_cell_length_b 5.6937
_cell_length_c 9.4323
_cell_angle_alpha 90.00
_cell_angle_beta 91.15
_cell_angle_gamma 90.00
_space_group_name_H-M_alt 'P 1 21/m 1'
_space_group_IT_number 11
loop_
_space_group_symop_operation_xyz
'x,y,z'
'-x,-y,-z'
'-x,y+1/2,-z'
'x,-y+1/2,z'
loop_
_atom_site_label
_atom_site_type_symbol
_atom_site_fract_x
_atom_site_fract_y
_atom_site_fract_z
K1 K 0.0022 0.2500 0.1919
K2 K 0.1408 0.7500 0.4139
K3 K 0.2943 0.2500 0.9180
Ho1 Ho 0.4935 0.7500 0.7131
P1 P 0.2743 0.7500 0.0910
P2 P 0.3171 0.2500 0.5714
O1 O 0.0704 0.7500 0.1035
O2 O 0.2132 0.2500 0.4264
O3 O 0.2701 0.0271 0.6600
O4 O 0.3301 0.7500 0.9325
O5 O 0.3523 0.5264 0.1660
O6 O 0.4837 0.7500 0.4665
```

Top 6 peaks for 2θ from 10° to 90°, in order of falling intensity:
2theta  Rel. int.  h k l
11.77  100  1 0 0
30.15  98  2 0 -2
32.54  59  0 1 3
31.42  51  0 2 0
21.83  47  1 1 1
18.20  39  0 1 1

***

Record 2
Theoretical powder X-ray diffraction pattern
Compound: K4HoPa3O12
Radiation: copper Kα
Structure: a structure optimized by DFT (PBE)

Cell and atoms:
```
data_K4HoPa3O12
_chemical_formula_sum 'K8 Ho2 Pa6 O24'
_cell_length_a 8.7625
_cell_length_b 8.7625
_cell_length_c 8.7625
_cell_angle_alpha 90.00
_cell_angle_beta 90.00
_cell_angle_gamma 90.00
_space_group_name_H-M_alt 'I m -3 m'
_space_group_IT_number 229
_space_group_name_Hall '-I 4 2 3'
loop_
_atom_site_label
_atom_site_type_symbol
_atom_site_fract_x
_atom_site_fract_y
_atom_site_fract_z
K1 K 0.2500 0.2500 0.2500
Ho1 Ho 0.0000 0.0000 0.0000
Pa1 Pa 0.0000 0.0000 0.5000
O1 O 0.0000 0.0000 0.2597
O2 O 0.0000 0.2500 0.5000
```

Top 6 peaks for 2θ from 10° to 90°, in order of falling intensity:
2theta  Rel. int.  h k l
28.82  100  2 2 0
20.27  73  2 0 0
51.06  42  4 2 2
46.34  36  4 2 0
41.21  31  4 0 0
82.35  22  6 4 2

***

Record 3
Theoretical powder X-ray diffraction pattern
Compound: K3Ho2PtO6
Radiation: copper Kα
Structure: a structure optimized by DFT (PBE)

Cell and atoms:
```
data_K3Ho2PtO6
_chemical_formula_sum 'K6 Ho4 Pt2 O12'
_cell_length_a 5.8412
_cell_length_b 10.2545
_cell_length_c 6.4882
_cell_angle_alpha 90.00
_cell_angle_beta 106.65
_cell_angle_gamma 90.00
_space_group_name_H-M_alt 'C 1 2/m 1'
_space_group_IT_number 12
loop_
_space_group_symop_operation_xyz
'x,y,z'
'-x,-y,-z'
'-x,y,-z'
'x,-y,z'
'x+1/2,y+1/2,z'
'-x+1/2,-y+1/2,-z'
'-x+1/2,y+1/2,-z'
'x+1/2,-y+1/2,z'
loop_
_atom_site_label
_atom_site_type_symbol
_atom_site_fract_x
_atom_site_fract_y
_atom_site_fract_z
K1 K 0.0000 0.0000 0.0000
K2 K 0.0000 0.3407 0.0000
Ho1 Ho 0.0000 0.1696 0.5000
Pt1 Pt 0.0000 0.5000 0.5000
O1 O 0.2352 0.3293 0.6966
O2 O 0.2430 0.0000 0.6746
```

Top 6 peaks for 2θ from 10° to 90°, in order of falling intensity:
2theta  Rel. int.  h k l
14.25  100  0 0 1
35.91  62  1 3 1
31.88  47  1 3 -1
28.72  34  0 0 2
36.54  29  2 0 -2
30.65  26  1 3 0